Calculated powder diffractogram of ZrIn2Br6 for Cu Kα X-rays, from a PBE-relaxed structure.

Cell and atoms:
Unit cell a=7.5441 b=7.5441 c=10.9184 alpha=90.00 beta=90.00 gamma=90.00
Element x y z (fractional)
Zr (0.0000, 0.0000, 0.0000)
Zr (0.5000, 0.5000, 0.5000)
In (0.0000, 0.5000, 0.2500)
In (0.0000, 0.5000, 0.7500)
In (0.5000, 0.0000, 0.2500)
In (0.5000, 0.0000, 0.7500)
Br (0.0000, 0.0000, 0.2427)
Br (0.0000, 0.0000, 0.7573)
Br (0.2035, 0.2870, 0.0000)
Br (0.2130, 0.2965, 0.5000)
Br (0.2870, 0.7965, 0.0000)
Br (0.2965, 0.7870, 0.5000)
Br (0.5000, 0.5000, 0.2573)
Br (0.5000, 0.5000, 0.7427)
Br (0.7035, 0.2130, 0.5000)
Br (0.7130, 0.2035, 0.0000)
Br (0.7870, 0.7035, 0.5000)
Br (0.7965, 0.7130, 0.0000)

The 8 most intense peaks (2θ from 5° to 70°), in order of rising 2θ:
d/Å  2θ (°)  Rel. int.
6.207  14.27  19
3.103  28.77  100
2.730  32.81  34
2.667  33.60  52
1.908  47.67  37
1.886  48.25  14
1.612  57.15  16
1.552  59.58  15

Calculated powder diffractogram of NdEu2NbO6 for Cu Kα X-rays, from a PBE-relaxed structure.

Cell and atoms:
Unit cell a=6.0784 b=6.0784 c=6.0784 alpha=60.00 beta=60.00 gamma=60.00
Element x y z (fractional)
Nd (0.0000, 0.0000, 0.0000)
Eu (0.2500, 0.2500, 0.2500)
Eu (0.7500, 0.7500, 0.7500)
Nb (0.5000, 0.5000, 0.5000)
O (0.2667, 0.2667, 0.7333)
O (0.2667, 0.7333, 0.2667)
O (0.2667, 0.7333, 0.7333)
O (0.7333, 0.2667, 0.2667)
O (0.7333, 0.2667, 0.7333)
O (0.7333, 0.7333, 0.2667)

The 8 most intense peaks (2θ from 5° to 70°), in order of rising 2θ:
d/Å  2θ (°)  Rel. int.
4.963  17.87  1
3.039  29.39  100
2.592  34.61  1
2.481  36.20  4
2.149  42.04  29
1.755  52.12  41
1.520  60.97  18
1.359  69.11  18

Calculated powder diffractogram of CaAl4Si2O11 for Cu Kα X-rays, from a PBE-relaxed structure.

Cell and atoms:
Unit cell a=5.4776 b=5.4776 c=12.8378 alpha=90.18 beta=90.18 gamma=119.98
Element x y z (fractional)
Ca (0.1667, 0.8333, 0.5000)
Ca (0.8333, 0.1667, 0.0000)
Al (0.0020, 0.5034, 0.7544)
Al (0.1654, 0.8329, 0.0235)
Al (0.4919, 0.4967, 0.4011)
Al (0.4967, 0.4919, 0.9011)
Al (0.5034, 0.0020, 0.2544)
Al (0.5039, 0.5083, 0.6065)
Al (0.5083, 0.5039, 0.1065)
Al (0.8329, 0.1654, 0.5235)
Si (0.0034, 0.9983, 0.7545)
Si (0.4954, 0.9983, 0.7545)
Si (0.9983, 0.0034, 0.2545)
Si (0.9983, 0.4954, 0.2545)
O (0.1481, 0.3115, 0.8310)
O (0.1490, 0.3247, 0.1763)
O (0.1567, 0.8281, 0.1750)
O (0.1744, 0.8473, 0.8282)
O (0.1966, 0.3496, 0.5077)
O (0.3115, 0.1481, 0.3310)
O (0.3109, 0.6648, 0.3308)
O (0.3247, 0.1490, 0.6763)
O (0.3372, 0.6903, 0.6751)
O (0.3488, 0.6520, 0.0044)
O (0.3496, 0.1966, 0.0077)
O (0.6509, 0.8037, 0.5004)
O (0.6520, 0.3488, 0.5044)
O (0.6648, 0.3109, 0.8308)
O (0.6774, 0.8542, 0.8294)
O (0.6903, 0.3372, 0.1751)
O (0.6898, 0.8523, 0.1751)
O (0.8037, 0.6509, 0.0004)
O (0.8281, 0.1567, 0.6750)
O (0.8473, 0.1744, 0.3282)
O (0.8523, 0.6898, 0.6751)
O (0.8542, 0.6774, 0.3294)

The 8 most intense peaks (2θ from 5° to 70°), in order of rising 2θ:
d/Å  2θ (°)  Rel. int.
2.739  32.69  44
2.662  33.67  72
2.523  35.58  51
2.515  35.69  47
2.080  43.52  53
2.072  43.68  100
1.593  57.88  45
1.370  68.51  84

Calculated powder diffractogram of Mg3Si4O13 for Cu Kα X-rays, from a PBE-relaxed structure.

Cell and atoms:
Unit cell a=5.3831 b=5.3831 c=10.3307 alpha=94.52 beta=94.52 gamma=120.63
Element x y z (fractional)
Mg (0.0000, 0.0000, 0.0000)
Mg (0.3241, 0.6762, 0.9996)
Mg (0.6762, 0.3241, 0.9996)
Si (0.0903, 0.7580, 0.2721)
Si (0.2429, 0.9108, 0.7280)
Si (0.7580, 0.0903, 0.2721)
Si (0.9108, 0.2429, 0.7280)
O (0.0423, 0.7082, 0.1116)
O (0.0566, 0.0566, 0.6750)
O (0.0628, 0.5601, 0.6739)
O (0.2925, 0.9588, 0.8891)
O (0.3783, 0.3783, 0.0838)
O (0.4412, 0.9390, 0.3271)
O (0.4855, 0.4855, 0.4706)
O (0.5601, 0.0628, 0.6739)
O (0.6235, 0.6235, 0.9159)
O (0.7082, 0.0423, 0.1116)
O (0.9390, 0.4412, 0.3271)
O (0.9441, 0.9441, 0.3258)
O (0.9588, 0.2925, 0.8891)

The 8 most intense peaks (2θ from 5° to 70°), in order of rising 2θ:
d/Å  2θ (°)  Rel. int.
10.199  8.67  100
4.677  18.98  18
4.587  19.35  25
3.447  25.85  23
3.400  26.21  37
3.197  27.91  21
2.648  33.85  20
2.457  36.57  47

Calculated powder diffractogram of LaBe13 for Cu Kα X-rays, from a PBE-relaxed structure.

Cell and atoms:
Unit cell a=7.3481 b=7.3481 c=7.3481 alpha=60.00 beta=60.00 gamma=60.00
Element x y z (fractional)
La (0.2500, 0.2500, 0.2500)
La (0.7500, 0.7500, 0.7500)
Be (0.0000, 0.0000, 0.0000)
Be (0.0637, 0.2866, 0.7134)
Be (0.0637, 0.7134, 0.9363)
Be (0.0637, 0.9363, 0.2866)
Be (0.2134, 0.4363, 0.7866)
Be (0.2134, 0.5637, 0.4363)
Be (0.2134, 0.7866, 0.5637)
Be (0.2866, 0.0637, 0.9363)
Be (0.2866, 0.7134, 0.0637)
Be (0.2866, 0.9363, 0.7134)
Be (0.4363, 0.2134, 0.5637)
Be (0.4363, 0.5637, 0.7866)
Be (0.4363, 0.7866, 0.2134)
Be (0.5000, 0.5000, 0.5000)
Be (0.5637, 0.2134, 0.7866)
Be (0.5637, 0.4363, 0.2134)
Be (0.5637, 0.7866, 0.4363)
Be (0.7134, 0.0637, 0.2866)
Be (0.7134, 0.2866, 0.9363)
Be (0.7134, 0.9363, 0.0637)
Be (0.7866, 0.2134, 0.4363)
Be (0.7866, 0.4363, 0.5637)
Be (0.7866, 0.5637, 0.2134)
Be (0.9363, 0.0637, 0.7134)
Be (0.9363, 0.2866, 0.0637)
Be (0.9363, 0.7134, 0.2866)

The 8 most intense peaks (2θ from 5° to 70°), in order of rising 2θ:
d/Å  2θ (°)  Rel. int.
5.196  17.07  84
3.674  24.22  100
3.000  29.78  45
2.598  34.52  22
2.324  38.75  73
2.121  42.62  62
1.643  55.96  26
1.389  67.44  28

Calculated powder diffractogram of Cu2H3ClO3 for Cu Kα X-rays, from a PBE-relaxed structure.

Cell and atoms:
Unit cell a=6.1799 b=6.8435 c=10.1489 alpha=90.00 beta=116.88 gamma=90.00
Element x y z (fractional)
Cu (0.0000, 0.0000, 0.0000)
Cu (0.0000, 0.5000, 0.5000)
Cu (0.0108, 0.2346, 0.2513)
Cu (0.0108, 0.2654, 0.7513)
Cu (0.5000, 0.0000, 0.0000)
Cu (0.5000, 0.5000, 0.5000)
Cu (0.9892, 0.7346, 0.2487)
Cu (0.9892, 0.7654, 0.7487)
H (0.2661, 0.7077, 0.0286)
H (0.2661, 0.7923, 0.5286)
H (0.3009, 0.1841, 0.5226)
H (0.3009, 0.3159, 0.0226)
H (0.3248, 0.5209, 0.7692)
H (0.3248, 0.9791, 0.2692)
H (0.6752, 0.0209, 0.7308)
H (0.6752, 0.4791, 0.2308)
H (0.6991, 0.6841, 0.9774)
H (0.6991, 0.8159, 0.4774)
H (0.7339, 0.2077, 0.4714)
H (0.7339, 0.2923, 0.9714)
Cl (0.3112, 0.5052, 0.1872)
Cl (0.3112, 0.9948, 0.6872)
Cl (0.6888, 0.0052, 0.3128)
Cl (0.6888, 0.4948, 0.8128)
O (0.1446, 0.5192, 0.7233)
O (0.1446, 0.9808, 0.2233)
O (0.2214, 0.6781, 0.4603)
O (0.2214, 0.8219, 0.9603)
O (0.2613, 0.2085, 0.9502)
O (0.2613, 0.2915, 0.4502)
O (0.7387, 0.7085, 0.5498)
O (0.7387, 0.7915, 0.0498)
O (0.7786, 0.1781, 0.0397)
O (0.7786, 0.3219, 0.5397)
O (0.8554, 0.0192, 0.7767)
O (0.8554, 0.4808, 0.2767)

The 8 most intense peaks (2θ from 5° to 70°), in order of rising 2θ:
d/Å  2θ (°)  Rel. int.
5.512  16.08  48
5.459  16.24  100
2.909  30.74  38
2.785  32.14  48
2.762  32.42  99
2.274  39.63  65
2.263  39.83  32
1.719  53.29  32

Calculated powder diffractogram of ZrBe5 for Cu Kα X-rays, from a PBE-relaxed structure.

Cell and atoms:
Unit cell a=4.5652 b=4.5652 c=3.4605 alpha=90.00 beta=90.00 gamma=120.00
Element x y z (fractional)
Zr (0.0000, 0.0000, 0.0000)
Be (0.0000, 0.5000, 0.5000)
Be (0.3333, 0.6667, 0.0000)
Be (0.5000, 0.0000, 0.5000)
Be (0.5000, 0.5000, 0.5000)
Be (0.6667, 0.3333, 0.0000)

The 8 most intense peaks (2θ from 5° to 70°), in order of rising 2θ:
d/Å  2θ (°)  Rel. int.
3.954  22.49  100
3.460  25.74  28
2.604  34.44  91
2.283  39.48  35
1.977  45.91  25
1.905  47.73  50
1.585  58.20  15
1.372  68.38  23

Calculated powder diffractogram of YErAl2O6 for Cu Kα X-rays, from a PBE-relaxed structure.

Cell and atoms:
Unit cell a=7.4101 b=5.1864 c=5.3824 alpha=90.00 beta=90.00 gamma=90.00
Element x y z (fractional)
Y (0.0000, 0.2367, 0.0000)
Y (0.0000, 0.7633, 0.5000)
Er (0.5000, 0.2628, 0.8829)
Er (0.5000, 0.7372, 0.3829)
Al (0.2514, 0.2496, 0.4426)
Al (0.2514, 0.7504, 0.9426)
Al (0.7486, 0.2496, 0.4426)
Al (0.7486, 0.7504, 0.9426)
O (0.0000, 0.3346, 0.4202)
O (0.0000, 0.6654, 0.9202)
O (0.2064, 0.0480, 0.7403)
O (0.2064, 0.9520, 0.2403)
O (0.2980, 0.4520, 0.1450)
O (0.2980, 0.5480, 0.6450)
O (0.5000, 0.1598, 0.4690)
O (0.5000, 0.8402, 0.9690)
O (0.7020, 0.4520, 0.1450)
O (0.7020, 0.5480, 0.6450)
O (0.7936, 0.0480, 0.7403)
O (0.7936, 0.9520, 0.2403)

The 8 most intense peaks (2θ from 5° to 70°), in order of rising 2θ:
d/Å  2θ (°)  Rel. int.
3.735  23.83  48
3.705  24.02  28
3.335  26.73  36
2.630  34.09  100
2.593  34.59  25
2.125  42.55  26
1.867  48.77  24
1.504  61.66  23